Diffraction record for Eu2ZnPtO6. The X-ray powder pattern is theoretical, not measured: it uses DFT lattice parameters and positions (GGA-PBE) and λ = 1.5418 Å (Cu Kα).

Cell and atoms:
a b c (Å): 5.5343 5.7966 9.5797
angles (deg): 90.00 125.14 90.00
Atoms (fractional coordinates):
Eu 0.2313 0.0629 0.2472
Eu 0.2313 0.4371 0.7472
Eu 0.7687 0.5629 0.2528
Eu 0.7687 0.9371 0.7528
Zn 0.0000 0.0000 0.5000
Zn 0.0000 0.5000 0.0000
Pt 0.5000 0.0000 0.0000
Pt 0.5000 0.5000 0.5000
O 0.1514 0.1921 0.9521
O 0.1514 0.3079 0.4521
O 0.2563 0.7071 0.9443
O 0.2563 0.7929 0.4443
O 0.3563 0.0372 0.7528
O 0.3563 0.4628 0.2528
O 0.6437 0.5372 0.7472
O 0.6437 0.9628 0.2472
O 0.7437 0.2071 0.5557
O 0.7437 0.2929 0.0557
O 0.8486 0.6921 0.5479
O 0.8486 0.8079 0.0479

Main lines, in order of rising 2θ (10° ≤ 2θ ≤ 80°):
2θ 19.0, d = 4.660 Å, I 11
2θ 19.7, d = 4.517 Å, I 9
2θ 25.0, d = 3.564 Å, I 10
2θ 30.9, d = 2.898 Å, I 22
2θ 32.0, d = 2.799 Å, I 100
2θ 32.4, d = 2.767 Å, I 25
2θ 45.3, d = 2.001 Å, I 20
2θ 46.4, d = 1.958 Å, I 13
2θ 46.8, d = 1.939 Å, I 10
2θ 55.6, d = 1.654 Å, I 11
2θ 57.4, d = 1.605 Å, I 11
2θ 57.5, d = 1.602 Å, I 16

Diffraction record for RbEuS2O8. The X-ray powder pattern is theoretical, not measured: it uses DFT lattice parameters and positions (GGA-PBE) and λ = 1.5418 Å (Cu Kα).

Cell and atoms:
a b c (Å): 7.4324 7.4324 9.7234
angles (deg): 101.59 101.59 43.46
Atoms (fractional coordinates):
Rb 0.0000 0.5000 0.0000
Rb 0.5000 0.0000 0.5000
Eu 0.1784 0.8216 0.7500
Eu 0.8216 0.1784 0.2500
S 0.1752 0.6496 0.3874
S 0.3504 0.8248 0.1126
S 0.6496 0.1752 0.8874
S 0.8248 0.3504 0.6126
O 0.0777 0.2129 0.7017
O 0.1590 0.6072 0.5263
O 0.1753 0.7862 0.0922
O 0.2129 0.0777 0.2017
O 0.2138 0.8247 0.4078
O 0.3904 0.3965 0.8169
O 0.3928 0.8410 0.9737
O 0.3965 0.3904 0.3169
O 0.6035 0.6096 0.6831
O 0.6072 0.1590 0.0263
O 0.6096 0.6035 0.1831
O 0.7862 0.1753 0.5922
O 0.7871 0.9223 0.7983
O 0.8247 0.2138 0.9078
O 0.8410 0.3928 0.4737
O 0.9223 0.7871 0.2983

Main lines, in order of rising 2θ (10° ≤ 2θ ≤ 80°):
2θ 13.1, d = 6.741 Å, I 52
2θ 20.4, d = 4.346 Å, I 40
2θ 25.2, d = 3.538 Å, I 57
2θ 25.7, d = 3.461 Å, I 100
2θ 32.1, d = 2.792 Å, I 57
2θ 32.5, d = 2.752 Å, I 20
2θ 40.2, d = 2.244 Å, I 25
2θ 40.5, d = 2.225 Å, I 18
2θ 41.6, d = 2.173 Å, I 18
2θ 41.7, d = 2.168 Å, I 20
2θ 42.4, d = 2.133 Å, I 27
2θ 52.8, d = 1.732 Å, I 16

Diffraction record for Eu3ReO8. The X-ray powder pattern is theoretical, not measured: it uses DFT lattice parameters and positions (GGA-PBE) and λ = 1.5418 Å (Cu Kα).

Cell and atoms:
a b c (Å): 7.4188 6.2924 7.4265
angles (deg): 90.00 111.34 90.00
Atoms (fractional coordinates):
Eu 0.1026 0.2500 0.3947
Eu 0.1686 0.2500 0.8901
Eu 0.3899 0.7500 0.6577
Eu 0.6101 0.2500 0.3423
Eu 0.8314 0.7500 0.1099
Eu 0.8974 0.7500 0.6053
Re 0.3195 0.7500 0.1724
Re 0.6805 0.2500 0.8276
O 0.0792 0.7500 0.9637
O 0.1557 0.7500 0.3380
O 0.1651 0.5011 0.6639
O 0.1651 0.9989 0.6639
O 0.3062 0.0484 0.1942
O 0.3062 0.4516 0.1942
O 0.4609 0.7500 0.0172
O 0.4653 0.2500 0.5913
O 0.5347 0.7500 0.4087
O 0.5391 0.2500 0.9828
O 0.6938 0.5484 0.8058
O 0.6938 0.9516 0.8058
O 0.8349 0.0011 0.3361
O 0.8349 0.4989 0.3361
O 0.8443 0.2500 0.6620
O 0.9208 0.2500 0.0363

Main lines, in order of rising 2θ (10° ≤ 2θ ≤ 80°):
2θ 24.2, d = 3.672 Å, I 8
2θ 28.1, d = 3.172 Å, I 16
2θ 28.4, d = 3.146 Å, I 40
2θ 29.1, d = 3.065 Å, I 16
2θ 29.5, d = 3.030 Å, I 100
2θ 41.1, d = 2.195 Å, I 18
2θ 43.2, d = 2.093 Å, I 13
2θ 49.5, d = 1.842 Å, I 9
2θ 50.9, d = 1.793 Å, I 24
2θ 51.9, d = 1.763 Å, I 7
2θ 52.5, d = 1.743 Å, I 13
2θ 55.6, d = 1.654 Å, I 9

Diffraction record for Eu3ReO7. The X-ray powder pattern is theoretical, not measured: it uses DFT lattice parameters and positions (GGA-PBE) and λ = 1.5418 Å (Cu Kα).

Cell and atoms:
a b c (Å): 6.7078 6.7078 7.6400
angles (deg): 90.00 90.00 69.69
Atoms (fractional coordinates):
Eu 0.0000 0.0000 0.0000
Eu 0.0000 0.0000 0.5000
Eu 0.0316 0.4881 0.7500
Eu 0.4881 0.0316 0.2500
Eu 0.5119 0.9684 0.7500
Eu 0.9684 0.5119 0.2500
Re 0.5000 0.5000 0.0000
Re 0.5000 0.5000 0.5000
O 0.1219 0.1478 0.2500
O 0.1478 0.1219 0.7500
O 0.2001 0.5567 0.0184
O 0.2001 0.5567 0.4816
O 0.4433 0.7999 0.0184
O 0.4433 0.7999 0.4816
O 0.4698 0.5302 0.7500
O 0.5302 0.4698 0.2500
O 0.5567 0.2001 0.5184
O 0.5567 0.2001 0.9816
O 0.7999 0.4433 0.5184
O 0.7999 0.4433 0.9816
O 0.8522 0.8781 0.2500
O 0.8781 0.8522 0.7500

Main lines, in order of rising 2θ (10° ≤ 2θ ≤ 80°):
2θ 28.4, d = 3.142 Å, I 100
2θ 32.5, d = 2.753 Å, I 13
2θ 33.1, d = 2.706 Å, I 24
2θ 47.1, d = 1.930 Å, I 28
2θ 47.4, d = 1.916 Å, I 6
2θ 47.6, d = 1.910 Å, I 8
2θ 55.5, d = 1.655 Å, I 15
2θ 56.2, d = 1.636 Å, I 13
2θ 56.4, d = 1.633 Å, I 15
2θ 58.7, d = 1.573 Å, I 6
2θ 58.8, d = 1.569 Å, I 5
2θ 76.1, d = 1.251 Å, I 11

Diffraction record for EuReO3. The X-ray powder pattern is theoretical, not measured: it uses DFT lattice parameters and positions (GGA-PBE) and λ = 1.5418 Å (Cu Kα).

Cell and atoms:
a b c (Å): 4.0014 4.0014 4.0014
angles (deg): 90.00 90.00 90.00
Atoms (fractional coordinates):
Eu 0.0000 0.0000 0.0000
Re 0.5000 0.5000 0.5000
O 0.0000 0.5000 0.5000
O 0.5000 0.0000 0.5000
O 0.5000 0.5000 0.0000

Main lines, in order of rising 2θ (10° ≤ 2θ ≤ 80°):
2θ 22.2, d = 4.001 Å, I 3
2θ 31.6, d = 2.829 Å, I 100
2θ 45.3, d = 2.001 Å, I 27
2θ 51.0, d = 1.789 Å, I 1
2θ 56.3, d = 1.634 Å, I 40
2θ 66.0, d = 1.415 Å, I 17
2θ 75.1, d = 1.265 Å, I 18

Diffraction record for EuRhO3. The X-ray powder pattern is theoretical, not measured: it uses DFT lattice parameters and positions (GGA-PBE) and λ = 1.5418 Å (Cu Kα).

Cell and atoms:
a b c (Å): 5.8369 7.8181 5.4127
angles (deg): 90.00 90.00 90.00
Atoms (fractional coordinates):
Eu 0.0753 0.2500 0.0248
Eu 0.4247 0.7500 0.5248
Eu 0.5753 0.2500 0.4752
Eu 0.9247 0.7500 0.9752
Rh 0.0000 0.0000 0.5000
Rh 0.0000 0.5000 0.5000
Rh 0.5000 0.0000 0.0000
Rh 0.5000 0.5000 0.0000
O 0.0357 0.7500 0.3894
O 0.1962 0.5532 0.8133
O 0.1962 0.9468 0.8133
O 0.3038 0.0532 0.3133
O 0.3038 0.4468 0.3133
O 0.4643 0.2500 0.8894
O 0.5357 0.7500 0.1106
O 0.6962 0.5532 0.6867
O 0.6962 0.9468 0.6867
O 0.8038 0.0532 0.1867
O 0.8038 0.4468 0.1867
O 0.9643 0.2500 0.6106

Main lines, in order of rising 2θ (10° ≤ 2θ ≤ 80°):
2θ 25.2, d = 3.539 Å, I 17
2θ 30.6, d = 2.918 Å, I 19
2θ 32.1, d = 2.785 Å, I 100
2θ 32.8, d = 2.734 Å, I 11
2θ 33.1, d = 2.706 Å, I 24
2θ 45.7, d = 1.984 Å, I 16
2θ 46.5, d = 1.955 Å, I 14
2θ 47.3, d = 1.923 Å, I 10
2θ 51.2, d = 1.783 Å, I 13
2θ 58.2, d = 1.585 Å, I 11
2θ 58.5, d = 1.577 Å, I 20
2θ 67.2, d = 1.393 Å, I 9

Diffraction record for Sr3EuRhO6. The X-ray powder pattern is theoretical, not measured: it uses DFT lattice parameters and positions (GGA-PBE) and λ = 1.5418 Å (Cu Kα).

Cell and atoms:
a b c (Å): 6.9043 6.9043 6.9043
angles (deg): 91.48 91.48 91.48
Atoms (fractional coordinates):
Sr 0.1188 0.7500 0.3812
Sr 0.2500 0.6188 0.8812
Sr 0.3812 0.1188 0.7500
Sr 0.6188 0.8812 0.2500
Sr 0.7500 0.3812 0.1188
Sr 0.8812 0.2500 0.6188
Eu 0.2500 0.2500 0.2500
Eu 0.7500 0.7500 0.7500
Rh 0.0000 0.0000 0.0000
Rh 0.5000 0.5000 0.5000
O 0.0506 0.9176 0.7110
O 0.0824 0.2890 0.9494
O 0.2110 0.4176 0.5506
O 0.2890 0.9494 0.0824
O 0.4176 0.5506 0.2110
O 0.4494 0.7890 0.5824
O 0.5506 0.2110 0.4176
O 0.5824 0.4494 0.7890
O 0.7110 0.0506 0.9176
O 0.7890 0.5824 0.4494
O 0.9176 0.7110 0.0506
O 0.9494 0.0824 0.2890

Main lines, in order of rising 2θ (10° ≤ 2θ ≤ 80°):
2θ 17.9, d = 4.945 Å, I 41
2θ 29.3, d = 3.053 Å, I 43
2θ 31.3, d = 2.855 Å, I 100
2θ 32.5, d = 2.756 Å, I 13
2θ 37.4, d = 2.408 Å, I 33
2θ 38.7, d = 2.328 Å, I 12
2θ 41.7, d = 2.165 Å, I 40
2θ 43.4, d = 2.085 Å, I 27
2θ 55.8, d = 1.648 Å, I 15
2θ 56.5, d = 1.629 Å, I 28
2θ 57.4, d = 1.605 Å, I 15
2θ 65.4, d = 1.427 Å, I 12

Diffraction record for Eu2Ru2O7. The X-ray powder pattern is theoretical, not measured: it uses DFT lattice parameters and positions (GGA-PBE) and λ = 1.5418 Å (Cu Kα).

Cell and atoms:
a b c (Å): 7.4291 7.4291 7.4291
angles (deg): 60.00 60.00 60.00
Atoms (fractional coordinates):
Eu 0.0000 0.0000 0.0000
Eu 0.0000 0.0000 0.5000
Eu 0.0000 0.5000 0.0000
Eu 0.5000 0.0000 0.0000
Ru 0.0000 0.5000 0.5000
Ru 0.5000 0.0000 0.5000
Ru 0.5000 0.5000 0.0000
Ru 0.5000 0.5000 0.5000
O 0.1250 0.1250 0.1250
O 0.1725 0.1725 0.5775
O 0.1725 0.5775 0.1725
O 0.1725 0.5775 0.5775
O 0.4225 0.4225 0.8275
O 0.4225 0.8275 0.4225
O 0.4225 0.8275 0.8275
O 0.5775 0.1725 0.1725
O 0.5775 0.1725 0.5775
O 0.5775 0.5775 0.1725
O 0.8275 0.4225 0.4225
O 0.8275 0.4225 0.8275
O 0.8275 0.8275 0.4225
O 0.8750 0.8750 0.8750

Main lines, in order of rising 2θ (10° ≤ 2θ ≤ 80°):
2θ 14.6, d = 6.066 Å, I 2
2θ 28.2, d = 3.168 Å, I 1
2θ 29.5, d = 3.033 Å, I 100
2θ 34.1, d = 2.627 Å, I 33
2θ 37.3, d = 2.410 Å, I 5
2θ 44.8, d = 2.022 Å, I 2
2θ 49.0, d = 1.857 Å, I 46
2θ 51.5, d = 1.776 Å, I 1
2θ 58.3, d = 1.584 Å, I 43
2θ 61.1, d = 1.516 Å, I 10
2θ 71.9, d = 1.313 Å, I 7
2θ 79.5, d = 1.205 Å, I 17